1.
Simulated powder X-ray diffraction pattern
Compound: Nd2Er2CI5
Radiation: λ = 1.5418 Å (Cu Kα)
Structure: a structure optimized by DFT (GGA-PBE)
Kinematic intensities with the Lorentz-polarization factor, no thermal factor.

Largest 8 diffraction maxima, in order of rising 2θ, 10° ≤ 2θ ≤ 90°:
h k l  2θ (°)  d [Å]  I (rel.)
0 0 1  10.24  8.636  400
6 0 0  28.13  3.172  360
3 1 1  29.30  3.048  179
1 1 -2  29.99  2.980  1000
5 1 0  32.35  2.767  393
5 1 2  41.43  2.180  219
7 1 -2  41.74  2.164  215
0 2 0  44.97  2.016  200

Crystal structure
Lattice parameters (Å, degrees): 19.497 4.032 8.845 90.00 102.50 90.00
Space group C2/m (No. 12)
Asymmetric unit:
1 Nd 0.001 0.000 0.305 x4
2 Er 0.125 0.500 0.562 x4
3 C 0.000 0.500 0.500 x2
4 I 0.000 0.500 0.000 x2
5 I 0.166 0.000 0.825 x4
6 I 0.169 0.000 0.339 x4

=====

2.
Simulated powder X-ray diffraction pattern
Compound: ErTmC2I2
Radiation: λ = 1.5418 Å (Cu Kα)
Structure: a structure optimized by DFT (GGA-PBE)
Kinematic intensities with the Lorentz-polarization factor, no thermal factor.

Largest 8 diffraction maxima, in order of rising 2θ, 10° ≤ 2θ ≤ 90°:
h k l  2θ (°)  d [Å]  I (rel.)
1 1 0  26.23  3.397  524
2 0 -2  28.63  3.117  785
1 1 -2  30.45  2.936  443
1 1 2  31.26  2.862  1000
1 1 3  36.40  2.468  322
1 1 -4  41.40  2.181  278
3 1 0  44.36  2.042  453
2 2 -2  56.17  1.637  235

Crystal structure
Lattice parameters (Å, degrees): 7.242 3.849 11.127 90.00 93.50 90.00
Space group Cm (No. 8)
Asymmetric unit:
1 Er 0.000 0.000 0.000 x2
2 Tm 0.291 0.000 0.242 x2
3 C 0.067 0.500 0.150 x2
4 C 0.224 0.500 0.093 x2
5 I 0.322 0.000 0.812 x2
6 I 0.469 0.500 0.429 x2

=====

3.
Simulated powder X-ray diffraction pattern
Compound: Y2Er2CI5
Radiation: λ = 1.5418 Å (Cu Kα)
Structure: a structure optimized by DFT (GGA-PBE)
Kinematic intensities with the Lorentz-polarization factor, no thermal factor.

Largest 8 diffraction maxima, in order of rising 2θ, 10° ≤ 2θ ≤ 90°:
h k l  2θ (°)  d [Å]  I (rel.)
1 1 0  23.04  3.861  196
6 0 0  28.88  3.091  536
3 1 1  30.06  2.973  182
1 1 -2  30.79  2.904  1000
5 1 0  33.15  2.703  327
5 1 2  42.64  2.121  306
7 1 -2  42.81  2.112  291
0 2 0  45.98  1.974  196

Crystal structure
Lattice parameters (Å, degrees): 19.012 3.947 8.575 90.00 102.70 90.00
Space group C2/m (No. 12)
Asymmetric unit:
1 Y 0.130 0.000 0.064 x4
2 Er 0.000 0.500 0.187 x4
3 C 0.000 0.000 0.000 x2
4 I 0.000 0.000 0.500 x2
5 I 0.163 0.500 0.342 x4
6 I 0.167 0.500 0.820 x4

=====

4.
Simulated powder X-ray diffraction pattern
Compound: Er3LuIn2C2
Radiation: λ = 1.5418 Å (Cu Kα)
Structure: a structure optimized by DFT (GGA-PBE)
Kinematic intensities with the Lorentz-polarization factor, no thermal factor.

Largest 8 diffraction maxima, in order of rising 2θ, 10° ≤ 2θ ≤ 90°:
h k l  2θ (°)  d [Å]  I (rel.)
1 0 0  29.04  3.075  219
0 0 6  33.28  2.692  216
1 0 3  33.57  2.670  1000
0 1 6  44.75  2.025  163
1 1 0  51.48  1.775  206
1 0 9  59.65  1.550  190
1 1 6  62.69  1.482  211
0 2 3  62.87  1.478  163

Crystal structure
Lattice parameters (Å, degrees): 3.5501 3.5501 16.1521 90.00 90.00 120.00
Space group P3m1 (No. 156)
Asymmetric unit:
1 Er 0.0000 0.0000 0.0000 x1
2 Er 0.0000 0.0000 0.3363 x1
3 Er 0.3333 0.6667 0.5021 x1
4 Lu 0.3333 0.6667 0.8366 x1
5 In 0.0000 0.0000 0.6705 x1
6 In 0.3333 0.6667 0.1684 x1
7 C 0.6667 0.3333 0.4191 x1
8 C 0.6667 0.3333 0.9175 x1

=====

5.
Simulated powder X-ray diffraction pattern
Compound: Er2In2PtC3
Radiation: λ = 1.5418 Å (Cu Kα)
Structure: a structure optimized by DFT (GGA-PBE)
Kinematic intensities with the Lorentz-polarization factor, no thermal factor.

Largest 8 diffraction maxima, in order of rising 2θ, 10° ≤ 2θ ≤ 90°:
h k l  2θ (°)  d [Å]  I (rel.)
1 0 1  27.00  3.303  273
1 0 2  31.02  2.883  1000
0 1 3  36.84  2.440  515
0 1 4  43.86  2.064  138
1 1 0  45.00  2.014  502
0 1 5  51.76  1.766  173
0 2 2  55.66  1.651  190
2 1 2  74.27  1.277  160

Crystal structure
Lattice parameters (Å, degrees): 4.0287 4.0287 10.2405 90.00 90.00 120.00
Space group P3m1 (No. 156)
Asymmetric unit:
1 Er 0.0000 0.0000 0.0000 x1
2 Er 0.3333 0.6667 0.4627 x1
3 In 0.6667 0.3333 0.2463 x1
4 In 0.6667 0.3333 0.7552 x1
5 Pt 0.0000 0.0000 0.6142 x1
6 C 0.0000 0.0000 0.3774 x1
7 C 0.3333 0.6667 0.0756 x1
8 C 0.3333 0.6667 0.9430 x1

=====

6.
Simulated powder X-ray diffraction pattern
Compound: Er3TmIn2C2
Radiation: λ = 1.5418 Å (Cu Kα)
Structure: a structure optimized by DFT (GGA-PBE)
Kinematic intensities with the Lorentz-polarization factor, no thermal factor.

Largest 8 diffraction maxima, in order of rising 2θ, 10° ≤ 2θ ≤ 90°:
h k l  2θ (°)  d [Å]  I (rel.)
1 0 0  28.95  3.084  219
0 0 6  33.29  2.692  215
0 1 3  33.49  2.676  1000
1 0 6  44.69  2.028  162
1 1 0  51.31  1.781  207
0 1 9  59.61  1.551  190
1 1 6  62.55  1.485  211
2 0 3  62.67  1.482  163

Crystal structure
Lattice parameters (Å, degrees): 3.5612 3.5612 16.1505 90.00 90.00 120.00
Space group P3m1 (No. 156)
Asymmetric unit:
1 Er 0.0000 0.0000 0.0000 x1
2 Er 0.0000 0.0000 0.3355 x1
3 Er 0.3333 0.6667 0.8347 x1
4 Tm 0.3333 0.6667 0.4999 x1
5 In 0.0000 0.0000 0.6667 x1
6 In 0.3333 0.6667 0.1676 x1
7 C 0.6667 0.3333 0.4179 x1
8 C 0.6667 0.3333 0.9174 x1

=====

7.
Simulated powder X-ray diffraction pattern
Compound: KEr4PbC2
Radiation: λ = 1.5418 Å (Cu Kα)
Structure: a structure optimized by DFT (GGA-PBE)
Kinematic intensities with the Lorentz-polarization factor, no thermal factor.

Largest 8 diffraction maxima, in order of rising 2θ, 10° ≤ 2θ ≤ 90°:
h k l  2θ (°)  d [Å]  I (rel.)
1 0 0  28.57  3.125  309
1 0 3  32.27  2.774  1000
0 0 7  34.72  2.584  192
1 0 4  34.90  2.571  536
1 0 7  45.56  1.991  194
1 1 0  50.59  1.804  267
1 0 10  59.01  1.565  173
1 1 7  62.82  1.479  215

Crystal structure
Lattice parameters (Å, degrees): 3.6083 3.6083 18.0863 90.00 90.00 120.00
Space group P-6m2 (No. 187)
Asymmetric unit:
1 K 0.0000 0.0000 0.0000 x1
2 Er 0.0000 0.0000 0.3541 x2
3 Er 0.6667 0.3333 0.2103 x2
4 Pb 0.6667 0.3333 0.5000 x1
5 C 0.3333 0.6667 0.2787 x2

=====

8.
Simulated powder X-ray diffraction pattern
Compound: ErLuPbC
Radiation: λ = 1.5418 Å (Cu Kα)
Structure: a structure optimized by DFT (GGA-PBE)
Kinematic intensities with the Lorentz-polarization factor, no thermal factor.

Largest 8 diffraction maxima, in order of rising 2θ, 10° ≤ 2θ ≤ 90°:
h k l  2θ (°)  d [Å]  I (rel.)
1 0 0  28.78  3.102  226
1 0 3  33.52  2.673  1000
0 0 6  34.01  2.636  205
1 0 6  45.14  2.009  158
1 1 0  51.00  1.791  214
1 0 9  60.56  1.529  186
2 0 3  62.42  1.488  171
1 1 6  62.73  1.481  217

Crystal structure
Lattice parameters (Å, degrees): 3.5813 3.5813 15.8154 90.00 90.00 120.00
Space group P-6m2 (No. 187)
Asymmetric unit:
1 Er 0.0000 0.0000 0.1682 x2
2 Lu 0.3333 0.6667 0.3321 x2
3 Pb 0.0000 0.0000 0.5000 x1
4 Pb 0.3333 0.6667 0.0000 x1
5 C 0.6667 0.3333 0.2517 x2

=====

9.
Simulated powder X-ray diffraction pattern
Compound: ErLu3C2Se2
Radiation: λ = 1.5418 Å (Cu Kα)
Structure: a structure optimized by DFT (GGA-PBE)
Kinematic intensities with the Lorentz-polarization factor, no thermal factor.

Largest 8 diffraction maxima, in order of rising 2θ, 10° ≤ 2θ ≤ 90°:
h k l  2θ (°)  d [Å]  I (rel.)
1 0 0  27.99  3.188  286
0 1 1  28.84  3.096  142
0 1 3  34.96  2.567  1000
1 1 0  49.53  1.840  280
0 1 7  57.53  1.602  154
2 0 3  62.06  1.496  191
1 1 6  66.72  1.402  156
1 2 3  83.24  1.161  169

Crystal structure
Lattice parameters (Å, degrees): 3.6807 3.6807 12.9829 90.00 90.00 120.00
Space group P3m1 (No. 156)
Asymmetric unit:
1 Er 0.0000 0.0000 0.0000 x1
2 Lu 0.0000 0.0000 0.6972 x1
3 Lu 0.6667 0.3333 0.1996 x1
4 Lu 0.6667 0.3333 0.5005 x1
5 C 0.3333 0.6667 0.1011 x1
6 C 0.3333 0.6667 0.5988 x1
7 Se 0.0000 0.0000 0.3496 x1
8 Se 0.6667 0.3333 0.8464 x1

=====

10.
Simulated powder X-ray diffraction pattern
Compound: ErMo3C3
Radiation: λ = 1.5418 Å (Cu Kα)
Structure: a structure optimized by DFT (GGA-PBE)
Kinematic intensities with the Lorentz-polarization factor, no thermal factor.

Largest 8 diffraction maxima, in order of rising 2θ, 10° ≤ 2θ ≤ 90°:
h k l  2θ (°)  d [Å]  I (rel.)
1 0 2  31.96  2.800  1000
1 0 3  33.76  2.655  413
1 0 4  36.16  2.484  638
0 0 8  38.64  2.330  383
1 0 5  39.05  2.307  608
1 0 6  42.35  2.134  353
1 1 0  54.11  1.695  550
1 1 8  68.44  1.371  416

Crystal structure
Lattice parameters (Å, degrees): 3.3903 3.3903 18.6418 90.00 90.00 120.00
Space group P6_3/mmc (No. 194)
Asymmetric unit:
1 Er 0.0000 0.0000 0.0000 x2
2 Mo 0.3333 0.6667 0.1338 x4
3 Mo 0.3333 0.6667 0.7500 x2
4 C 0.3333 0.6667 0.2500 x2
5 C 0.3333 0.6667 0.5861 x4

=====

11.
Simulated powder X-ray diffraction pattern
Compound: TbErSi2Mo2C
Radiation: λ = 1.5418 Å (Cu Kα)
Structure: a structure optimized by DFT (GGA-PBE)
Kinematic intensities with the Lorentz-polarization factor, no thermal factor.

Largest 8 diffraction maxima, in order of rising 2θ, 10° ≤ 2θ ≤ 90°:
h k l  2θ (°)  d [Å]  I (rel.)
2 0 -2  25.03  3.558  211
1 1 0  25.39  3.508  263
2 0 1  31.36  2.853  452
4 0 -1  33.07  2.709  317
3 1 -1  33.78  2.654  892
1 1 -2  35.43  2.533  1000
4 0 -3  39.97  2.256  302
0 2 0  47.80  1.903  247

Crystal structure
Lattice parameters (Å, degrees): 11.138 3.805 7.134 90.00 125.62 90.00
Space group Cm (No. 8)
Asymmetric unit:
1 Tb 0.000 0.000 0.000 x2
2 Er 0.150 0.000 0.591 x2
3 Si 0.206 0.500 0.959 x2
4 Si 0.444 0.000 0.632 x2
5 Mo 0.281 0.500 0.381 x2
6 Mo 0.370 0.000 0.213 x2
7 C 0.076 0.500 0.299 x2

=====

12.
Simulated powder X-ray diffraction pattern
Compound: ErTmSi2Mo2C
Radiation: λ = 1.5418 Å (Cu Kα)
Structure: a structure optimized by DFT (GGA-PBE)
Kinematic intensities with the Lorentz-polarization factor, no thermal factor.

Largest 8 diffraction maxima, in order of rising 2θ, 10° ≤ 2θ ≤ 90°:
h k l  2θ (°)  d [Å]  I (rel.)
2 0 -2  25.20  3.534  212
1 1 0  25.55  3.486  278
2 0 1  31.47  2.842  456
4 0 -1  33.10  2.706  267
3 1 -1  33.93  2.642  897
1 1 -2  35.70  2.515  1000
4 0 -3  40.21  2.243  305
0 2 0  48.17  1.889  244

Crystal structure
Lattice parameters (Å, degrees): 11.115 3.778 7.084 90.00 125.59 90.00
Space group Cm (No. 8)
Asymmetric unit:
1 Er 0.000 0.000 0.000 x2
2 Tm 0.351 0.500 0.411 x2
3 Si 0.055 0.500 0.366 x2
4 Si 0.295 0.000 0.044 x2
5 Mo 0.131 0.500 0.790 x2
6 Mo 0.219 0.000 0.619 x2
7 C 0.425 0.000 0.704 x2

=====

13.
Simulated powder X-ray diffraction pattern
Compound: ErTmMo2C3
Radiation: λ = 1.5418 Å (Cu Kα)
Structure: a structure optimized by DFT (GGA-PBE)
Kinematic intensities with the Lorentz-polarization factor, no thermal factor.

Largest 8 diffraction maxima, in order of rising 2θ, 10° ≤ 2θ ≤ 90°:
h k l  2θ (°)  d [Å]  I (rel.)
2 0 1  27.02  3.300  156
2 0 -2  32.29  2.772  545
4 0 0  33.49  2.676  566
1 1 1  33.91  2.643  1000
3 1 -1  36.93  2.434  868
2 0 2  42.24  2.140  243
0 2 0  54.61  1.681  163
4 2 0  65.60  1.423  164

Crystal structure
Lattice parameters (Å, degrees): 11.278 3.361 5.650 90.00 108.45 90.00
Space group Cm (No. 8)
Asymmetric unit:
1 Er 0.000 0.000 0.000 x2
2 Tm 0.229 0.000 0.638 x2
3 Mo 0.264 0.500 0.190 x2
4 Mo 0.466 0.000 0.449 x2
5 C 0.115 0.500 0.321 x2
6 C 0.344 0.000 0.074 x2
7 C 0.384 0.500 0.564 x2

=====

14.
Simulated powder X-ray diffraction pattern
Compound: ErZrMo2C3
Radiation: λ = 1.5418 Å (Cu Kα)
Structure: a structure optimized by DFT (GGA-PBE)
Kinematic intensities with the Lorentz-polarization factor, no thermal factor.

Largest 8 diffraction maxima, in order of rising 2θ, 10° ≤ 2θ ≤ 90°:
h k l  2θ (°)  d [Å]  I (rel.)
2 0 -2  32.70  2.739  417
4 0 0  33.70  2.660  458
1 1 1  34.70  2.585  1000
3 1 -1  37.27  2.413  893
2 0 2  43.42  2.084  235
0 2 0  55.78  1.648  161
3 1 -3  57.72  1.597  161
5 1 1  59.17  1.562  165

Crystal structure
Lattice parameters (Å, degrees): 11.299 3.296 5.551 90.00 109.68 90.00
Space group Cm (No. 8)
Asymmetric unit:
1 Er 0.000 0.000 0.000 x2
2 Zr 0.235 0.000 0.634 x2
3 Mo 0.260 0.500 0.175 x2
4 Mo 0.465 0.000 0.451 x2
5 C 0.117 0.500 0.329 x2
6 C 0.344 0.000 0.061 x2
7 C 0.376 0.500 0.563 x2

=====

15.
Simulated powder X-ray diffraction pattern
Compound: TbErNi2C2N2
Radiation: λ = 1.5418 Å (Cu Kα)
Structure: a structure optimized by DFT (GGA-PBE)
Kinematic intensities with the Lorentz-polarization factor, no thermal factor.

Largest 8 diffraction maxima, in order of rising 2θ, 10° ≤ 2θ ≤ 90°:
h k l  2θ (°)  d [Å]  I (rel.)
1 0 1  28.60  3.121  1000
1 0 2  35.77  2.510  635
0 0 3  36.85  2.439  701
1 1 1  38.91  2.315  614
1 1 2  44.64  2.030  541
2 0 0  53.09  1.725  487
2 1 1  61.40  1.510  259
2 0 3  66.37  1.408  312

Crystal structure
Lattice parameters (Å, degrees): 3.451 3.451 7.315 90.00 90.00 90.00
Space group P4mm (No. 99)
Asymmetric unit:
1 Tb 0.000 0.000 0.000 x1
2 Er 0.500 0.500 0.655 x1
3 Ni 0.000 0.500 0.328 x2
4 C 0.000 0.000 0.487 x1
5 C 0.500 0.500 0.164 x1
6 N 0.000 0.000 0.678 x1
7 N 0.500 0.500 0.972 x1